# 1
Calculated PXRD pattern of Na3NiAs2 for copper Kα, from a cell relaxed with PBE.
Kinematic intensities with the Lorentz-polarization factor, no thermal factor.

Atomic structure:
```
Na3NiAs2
1.0
4.2685 -5.0160 0.0000
4.2685 5.0160 0.0000
0.0000 0.0000 6.2931
Na Ni As
6 2 4
direct
0.0467 0.5631 0.2500 Na
0.0759 0.9241 0.7500 Na
0.4369 0.9533 0.2500 Na
0.5631 0.0467 0.7500 Na
0.9241 0.0759 0.2500 Na
0.9533 0.4369 0.7500 Na
0.4916 0.5084 0.7500 Ni
0.5084 0.4916 0.2500 Ni
0.2914 0.2914 0.0000 As
0.2914 0.2914 0.5000 As
0.7086 0.7086 0.0000 As
0.7086 0.7086 0.5000 As
```

The 12 most intense peaks (15 to 90 degrees two-theta), low angle first:
- 2θ = 17.7°, d = 5.016 Å, rel. 100
- 2θ = 20.8°, d = 4.268 Å, rel. 13
- 2θ = 28.7°, d = 3.114 Å, rel. 19
- 2θ = 33.6°, d = 2.665 Å, rel. 18
- 2θ = 35.4°, d = 2.533 Å, rel. 35
- 2θ = 35.8°, d = 2.508 Å, rel. 39
- 2θ = 39.9°, d = 2.261 Å, rel. 91
- 2θ = 43.8°, d = 2.065 Å, rel. 26
- 2θ = 46.2°, d = 1.964 Å, rel. 12
- 2θ = 51.2°, d = 1.784 Å, rel. 35
- 2θ = 64.0°, d = 1.454 Å, rel. 13
- 2θ = 67.1°, d = 1.395 Å, rel. 13



# 2
Calculated PXRD pattern of Na2NiAs for copper Kα, from a cell relaxed with PBE.
Kinematic intensities with the Lorentz-polarization factor, no thermal factor.

Atomic structure:
```
Na2NiAs
1.0
5.0123 0.0000 0.0000
-2.5062 4.3408 0.0000
0.0000 0.0000 4.3591
Na Ni As
2 1 1
direct
0.3333 0.6667 0.2395 Na
0.6667 0.3333 0.7605 Na
0.0000 0.0000 0.0000 Ni
0.0000 0.0000 0.5000 As
```

The 12 most intense peaks (15 to 90 degrees two-theta), low angle first:
- 2θ = 20.5°, d = 4.341 Å, rel. 100
- 2θ = 29.0°, d = 3.076 Å, rel. 12
- 2θ = 35.8°, d = 2.506 Å, rel. 62
- 2θ = 41.6°, d = 2.170 Å, rel. 16
- 2θ = 46.6°, d = 1.948 Å, rel. 44
- 2θ = 55.9°, d = 1.645 Å, rel. 8
- 2θ = 56.1°, d = 1.641 Å, rel. 13
- 2θ = 60.2°, d = 1.538 Å, rel. 20
- 2θ = 64.4°, d = 1.447 Å, rel. 10
- 2θ = 72.0°, d = 1.311 Å, rel. 22
- 2θ = 75.9°, d = 1.253 Å, rel. 6
- 2θ = 79.6°, d = 1.204 Å, rel. 4